No. 1
Pm2Er6Mg: calculated powder X-ray diffraction pattern (Cu Ka), based on a PBE-relaxed structure.

Crystal structure
a b c (Å): 3.533 3.533 25.936
angles (deg): 90.00 90.00 120.00
Fractional coordinates of all 9 atoms:
Pm 0.000 0.000 0.173
Pm 0.000 0.000 0.827
Er 0.000 0.000 0.396
Er 0.000 0.000 0.604
Er 0.667 0.333 0.064
Er 0.667 0.333 0.289
Er 0.667 0.333 0.711
Er 0.667 0.333 0.936
Mg 0.667 0.333 0.500

Largest 10 diffraction maxima, in order of rising 2θ, 10° ≤ 2θ ≤ 90°:
- 2θ 29.2, I = 43
- 2θ 29.4, I = 16
- 2θ 31.0, I = 70
- 2θ 32.4, I = 42
- 2θ 34.0, I = 100
- 2θ 43.1, I = 24
- 2θ 51.8, I = 44
- 2θ 58.2, I = 30
- 2θ 61.6, I = 38
- 2θ 63.4, I = 17

No. 2
Pr2Zn6Ni3: calculated powder X-ray diffraction pattern (Cu Ka), based on a PBE-relaxed structure.

Crystal structure
a b c (Å): 7.538 7.538 3.970
angles (deg): 90.00 90.00 120.00
Fractional coordinates of all 11 atoms:
Pr 0.333 0.667 0.000
Pr 0.667 0.333 0.000
Zn 0.000 0.197 0.000
Zn 0.000 0.718 0.500
Zn 0.197 0.000 0.000
Zn 0.282 0.282 0.500
Zn 0.718 0.000 0.500
Zn 0.803 0.803 0.000
Ni 0.000 0.387 0.500
Ni 0.387 0.000 0.500
Ni 0.613 0.613 0.500

Largest 10 diffraction maxima, in order of rising 2θ, 10° ≤ 2θ ≤ 90°:
- 2θ 32.8, I = 100
- 2θ 35.6, I = 16
- 2θ 36.4, I = 27
- 2θ 41.5, I = 32
- 2θ 43.2, I = 60
- 2θ 45.7, I = 24
- 2θ 53.9, I = 13
- 2θ 59.8, I = 12
- 2θ 63.4, I = 17
- 2θ 70.2, I = 21

No. 3
DyY8S4: calculated powder X-ray diffraction pattern (Cu Ka), based on a PBE-relaxed structure.

Crystal structure
a b c (Å): 9.565 9.565 12.859
angles (deg): 129.27 129.27 22.88
Fractional coordinates of all 13 atoms:
Dy 0.000 0.000 0.000
Y 0.038 0.038 0.742
Y 0.306 0.306 0.930
Y 0.339 0.339 0.679
Y 0.371 0.371 0.408
Y 0.629 0.629 0.592
Y 0.661 0.661 0.321
Y 0.694 0.694 0.070
Y 0.962 0.962 0.258
S 0.150 0.150 0.463
S 0.329 0.329 0.163
S 0.671 0.671 0.837
S 0.850 0.850 0.537

Largest 10 diffraction maxima, in order of rising 2θ, 10° ≤ 2θ ≤ 90°:
- 2θ 27.3, I = 30
- 2θ 28.7, I = 52
- 2θ 29.9, I = 49
- 2θ 30.1, I = 100
- 2θ 31.5, I = 80
- 2θ 31.7, I = 37
- 2θ 37.5, I = 32
- 2θ 37.7, I = 16
- 2θ 47.9, I = 67
- 2θ 50.8, I = 24

No. 4
YSc2Ag: calculated powder X-ray diffraction pattern (Cu Ka), based on a PBE-relaxed structure.

Crystal structure
a b c (Å): 6.141 6.141 6.141
angles (deg): 145.67 131.42 60.83
Fractional coordinates of all 4 atoms:
Y 0.000 0.000 0.000
Sc 0.442 0.442 0.000
Sc 0.721 0.221 0.500
Ag 0.233 0.733 0.500

Largest 10 diffraction maxima, in order of rising 2θ, 10° ≤ 2θ ≤ 90°:
- 2θ 19.5, I = 26
- 2θ 33.8, I = 23
- 2θ 34.9, I = 100
- 2θ 35.5, I = 36
- 2θ 49.9, I = 16
- 2θ 50.4, I = 9
- 2θ 61.2, I = 11
- 2θ 63.1, I = 9
- 2θ 63.4, I = 16
- 2θ 84.5, I = 9